Structure and simulated X-ray diffraction stick pattern of Sr3Hg2 (a cell relaxed with GGA-PBE; Cu Kα (weighted mean of Kα1 and Kα2)).

Structural model:
Cell: 9.074 9.074 4.506 Å, 90.00 90.00 90.00°
Space group P4/mbm (No. 127)
Symmetry-distinct sites (fractional):
1 Sr 0.000 0.000 0.000
2 Sr 0.154 0.346 0.500
3 Hg 0.142 0.642 0.000

Most intense lines, 2θ = 10–80°, in order of rising 2θ:
| d/Å | I_rel | index |
| --- | --- | --- |
| 4.506 | 16 | 0 0 1 |
| 4.058 | 15 | 2 1 0 |
| 3.015 | 100 | 2 1 1 |
| 2.869 | 38 | 3 1 0 |
| 1.772 | 19 | 3 1 2 |
| 1.578 | 23 | 5 2 1 |